Entry 1:
# CaIn2Cu
Calculated X-ray powder pattern, Cu Kα (λ = 1.5418 Å). Input: the GGA-PBE geometry in the Materials Project.
Peak positions follow from Bragg's law for the DFT cell and can differ from measured ones.

The 10 most intense peaks (10° ≤ 2θ ≤ 90°), by angle:
(1 1 0), 2θ 21.44, I = 38
(1 3 0), 2θ 31.83, I = 54
(1 1 2), 2θ 32.17, I = 100
(1 3 1), 2θ 34.06, I = 45
(0 2 3), 2θ 39.69, I = 32
(1 3 2), 2θ 40.08, I = 74
(2 0 0), 2θ 40.19, I = 53
(0 4 2), 2θ 41.14, I = 36
(1 1 3), 2θ 42.19, I = 61
(1 7 0), 2θ 63.66, I = 34

Cell and atoms:
```
data_CaIn2Cu
_chemical_formula_sum 'Ca4 In8 Cu4'
_symmetry_space_group_name_H-M 'C m c m'
_symmetry_Int_Tables_number 63
_symmetry_space_group_name_Hall '-C 2c 2'
_cell_length_a 4.487
_cell_length_b 10.819
_cell_length_c 7.506
_cell_angle_alpha 90.00
_cell_angle_beta 90.00
_cell_angle_gamma 90.00
loop_
_atom_site_label
_atom_site_fract_x
_atom_site_fract_y
_atom_site_fract_z
Ca1 0.000 0.068 0.250
In1 0.000 0.358 0.050
Cu1 0.000 0.213 0.750
```

***

Entry 2:
# SrNiGe
Calculated X-ray powder pattern, Cu Kα (λ = 1.5418 Å). Input: the GGA-PBE geometry in the Materials Project.
Peak positions follow from Bragg's law for the DFT cell and can differ from measured ones.

The 10 most intense peaks (10° ≤ 2θ ≤ 90°), by angle:
(1 0 1), 2θ 17.28, I = 42
(1 1 2), 2θ 30.73, I = 70
(0 0 4), 2θ 31.39, I = 35
(2 0 1), 2θ 32.13, I = 85
(1 1 3), 2θ 35.53, I = 100
(2 0 3), 2θ 39.32, I = 43
(0 2 0), 2θ 43.22, I = 49
(2 2 1), 2θ 54.86, I = 36
(1 1 6), 2θ 55.46, I = 40
(3 1 3), 2θ 58.28, I = 28

Cell and atoms:
```
data_SrNiGe
_chemical_formula_sum 'Sr4 Ni4 Ge4'
_symmetry_space_group_name_H-M 'P n m a'
_symmetry_Int_Tables_number 62
_cell_length_a 5.745
_cell_length_b 4.186
_cell_length_c 11.400
_cell_angle_alpha 90.00
_cell_angle_beta 90.00
_cell_angle_gamma 90.00
loop_
_symmetry_equiv_pos_as_xyz
'x,y,z'
'-x,-y,-z'
'-x+1/2,-y,z+1/2'
'x+1/2,y,-z+1/2'
'x+1/2,-y+1/2,-z+1/2'
'-x+1/2,y+1/2,z+1/2'
'-x,y+1/2,-z'
'x,-y+1/2,z'
loop_
_atom_site_label
_atom_site_fract_x
_atom_site_fract_y
_atom_site_fract_z
Sr1 0.120 0.250 0.144
Ni1 0.100 0.250 0.456
Ge1 0.135 0.750 0.372
```

***

Entry 3:
# Li5MgTi12O24
Calculated X-ray powder pattern, Cu Kα (λ = 1.5418 Å). Input: the GGA-PBE geometry in the Materials Project.
Peak positions follow from Bragg's law for the DFT cell and can differ from measured ones.

The 10 most intense peaks (10° ≤ 2θ ≤ 90°), by angle:
(0 0 3), 2θ 18.09, I = 100
(1 1 3), 2θ 35.03, I = 48
(0 2 1), 2θ 35.10, I = 21
(0 2 4), 2θ 42.58, I = 68
(0 2 7), 2θ 56.26, I = 21
(0 3 3), 2θ 56.36, I = 8
(2 0 8), 2θ 61.69, I = 25
(2 2 0), 2θ 61.91, I = 25
(2 2 3), 2θ 65.07, I = 7
(4 0 4), 2θ 78.05, I = 8

Cell and atoms:
```
data_Li5MgTi12O24
_chemical_formula_sum 'Li5 Mg1 Ti12 O24'
_symmetry_space_group_name_H-M 'P 3 m 1'
_symmetry_Int_Tables_number 156
_cell_length_a 5.9948
_cell_length_b 5.9948
_cell_length_c 14.7576
_cell_angle_alpha 90.00
_cell_angle_beta 90.00
_cell_angle_gamma 120.00
loop_
_symmetry_equiv_pos_as_xyz
'x,y,z'
'-y,x-y,z'
'-x+y,-x,z'
'-y,-x,z'
'-x+y,y,z'
'x,x-y,z'
loop_
_atom_site_label
_atom_site_fract_x
_atom_site_fract_y
_atom_site_fract_z
Li1 0.0000 0.0000 0.0000
Li2 0.0000 0.0000 0.2444
Li3 0.3333 0.6667 0.6663
Li4 0.3333 0.6667 0.9142
Li5 0.6667 0.3333 0.5859
Mg1 0.3333 0.6667 0.2878
Ti1 0.0000 0.0000 0.6259
Ti2 0.0082 0.5041 0.1229
Ti3 0.1622 0.3244 0.4622
Ti4 0.3330 0.1665 0.7910
Ti5 0.6667 0.3333 0.3339
Ti6 0.6667 0.3333 0.9570
O1 0.0000 0.0000 0.3871
O2 0.0000 0.0000 0.8611
O3 0.0112 0.5056 0.3771
O4 0.1500 0.3001 0.7124
O5 0.1810 0.3621 0.1982
O6 0.3029 0.1515 0.5373
O7 0.3333 0.6667 0.0508
O8 0.3333 0.6667 0.5258
O9 0.3707 0.1853 0.0449
O10 0.5173 0.0346 0.8700
O11 0.6667 0.3333 0.2033
O12 0.6667 0.3333 0.7208
```

***

Entry 4:
# KU2Se6
Calculated X-ray powder pattern, Cu Kα (λ = 1.5418 Å). Input: the GGA-PBE geometry in the Materials Project.
Peak positions follow from Bragg's law for the DFT cell and can differ from measured ones.

The 10 most intense peaks (10° ≤ 2θ ≤ 90°), by angle:
(0 1 3), 2θ 20.06, I = 63
(1 0 3), 2θ 25.08, I = 22
(1 0 5), 2θ 29.91, I = 100
(0 2 2), 2θ 33.37, I = 24
(1 1 6), 2θ 36.75, I = 34
(1 2 1), 2θ 39.64, I = 34
(0 2 6), 2θ 40.79, I = 24
(1 2 3), 2θ 41.36, I = 45
(1 1 8), 2θ 42.85, I = 31
(2 0 0), 2θ 44.70, I = 27

Cell and atoms:
```
data_KU2Se6
_chemical_formula_sum 'K2 U4 Se12'
_symmetry_space_group_name_H-M 'I m m m'
_symmetry_Int_Tables_number 71
_symmetry_space_group_name_Hall '-I 2 2'
_cell_length_a 4.053
_cell_length_b 5.536
_cell_length_c 22.104
_cell_angle_alpha 90.00
_cell_angle_beta 90.00
_cell_angle_gamma 90.00
loop_
_atom_site_label
_atom_site_fract_x
_atom_site_fract_y
_atom_site_fract_z
K1 0.000 0.000 0.000
U1 0.000 0.500 0.181
Se1 0.000 0.000 0.226
Se2 0.000 0.246 0.392
```

***

Entry 5:
# V3Cr3B8
Calculated X-ray powder pattern, Cu Kα (λ = 1.5418 Å). Input: the GGA-PBE geometry in the Materials Project.
Peak positions follow from Bragg's law for the DFT cell and can differ from measured ones.

The 10 most intense peaks (10° ≤ 2θ ≤ 90°), by angle:
(0 1 1), 2θ 30.70, I = 35
(1 0 3), 2θ 36.64, I = 84
(0 0 6), 2θ 41.41, I = 25
(1 1 2), 2θ 45.26, I = 100
(0 1 5), 2θ 46.12, I = 64
(1 0 7), 2θ 58.36, I = 16
(0 2 0), 2θ 62.14, I = 16
(1 1 8), 2θ 73.31, I = 18
(1 2 3), 2θ 74.36, I = 18
(2 1 5), 2θ 81.21, I = 20

Cell and atoms:
```
data_V3Cr3B8
_chemical_formula_sum 'V3 Cr3 B8'
_symmetry_space_group_name_H-M 'P m m 2'
_symmetry_Int_Tables_number 25
_cell_length_a 2.966
_cell_length_b 2.987
_cell_length_c 13.082
_cell_angle_alpha 90.00
_cell_angle_beta 90.00
_cell_angle_gamma 90.00
loop_
_symmetry_equiv_pos_as_xyz
'x,y,z'
'-x,-y,z'
'-x,y,z'
'x,-y,z'
loop_
_atom_site_label
_atom_site_fract_x
_atom_site_fract_y
_atom_site_fract_z
V1 0.000 0.000 0.000
V2 0.000 0.500 0.312
V3 0.500 0.500 0.502
Cr1 0.000 0.500 0.688
Cr2 0.500 0.000 0.189
Cr3 0.500 0.000 0.814
B1 0.000 0.000 0.436
B2 0.000 0.000 0.569
B3 0.000 0.500 0.138
B4 0.000 0.500 0.861
B5 0.500 0.000 0.364
B6 0.500 0.000 0.642
B7 0.500 0.500 0.067
B8 0.500 0.500 0.934
```

***

Entry 6:
# LiTaGeO5
Calculated X-ray powder pattern, Cu Kα (λ = 1.5418 Å). Input: the GGA-PBE geometry in the Materials Project.
Peak positions follow from Bragg's law for the DFT cell and can differ from measured ones.

The 10 most intense peaks (10° ≤ 2θ ≤ 90°), by angle:
(1 1 0), 2θ 17.14, I = 77
(0 2 0), 2θ 21.72, I = 36
(1 1 -2), 2θ 25.84, I = 100
(2 0 0), 2θ 26.71, I = 60
(0 2 2), 2θ 34.90, I = 32
(1 3 0), 2θ 35.56, I = 39
(1 1 2), 2θ 37.50, I = 43
(0 4 2), 2θ 52.63, I = 47
(3 3 0), 2θ 53.12, I = 25
(3 1 2), 2θ 61.74, I = 20

Cell and atoms:
```
data_LiTaGeO5
_chemical_formula_sum 'Li4 Ta4 Ge4 O20'
_symmetry_space_group_name_H-M 'P 1 21/c 1'
_symmetry_Int_Tables_number 14
_cell_length_a 7.683
_cell_length_b 8.183
_cell_length_c 7.605
_cell_angle_alpha 90.00
_cell_angle_beta 119.66
_cell_angle_gamma 90.00
loop_
_symmetry_equiv_pos_as_xyz
'x,y,z'
'-x,-y,-z'
'-x,y+1/2,-z+1/2'
'x,-y+1/2,z+1/2'
loop_
_atom_site_label
_atom_site_fract_x
_atom_site_fract_y
_atom_site_fract_z
Li1 0.250 0.059 0.209
Ta1 0.251 0.742 0.993
Ge1 0.250 0.111 0.757
O1 0.051 0.247 0.150
O2 0.249 0.682 0.748
O3 0.251 0.514 0.068
O4 0.252 0.512 0.448
O5 0.448 0.246 0.349
```

***

Entry 7:
# ThSb2
Calculated X-ray powder pattern, Cu Kα (λ = 1.5418 Å). Input: the GGA-PBE geometry in the Materials Project.
Peak positions follow from Bragg's law for the DFT cell and can differ from measured ones.

The 10 most intense peaks (10° ≤ 2θ ≤ 90°), by angle:
(1 0 1), 2θ 22.34, I = 41
(1 1 0), 2θ 28.59, I = 34
(0 0 3), 2θ 29.17, I = 36
(1 1 1), 2θ 30.24, I = 69
(1 1 2), 2θ 34.75, I = 100
(1 0 3), 2θ 35.69, I = 53
(2 0 0), 2θ 40.88, I = 58
(2 0 3), 2θ 51.01, I = 31
(2 1 3), 2θ 55.37, I = 31
(3 1 2), 2θ 70.50, I = 26

Cell and atoms:
```
data_ThSb2
_chemical_formula_sum 'Th2 Sb4'
_symmetry_space_group_name_H-M 'P 4/n m m'
_symmetry_Int_Tables_number 129
_cell_length_a 4.415
_cell_length_b 4.415
_cell_length_c 9.184
_cell_angle_alpha 90.00
_cell_angle_beta 90.00
_cell_angle_gamma 90.00
loop_
_symmetry_equiv_pos_as_xyz
'x,y,z'
'-x,-y,-z'
'-y+1/2,x,z'
'y+1/2,-x,-z'
'-x+1/2,-y+1/2,z'
'x+1/2,y+1/2,-z'
'y,-x+1/2,z'
'-y,x+1/2,-z'
'x+1/2,-y,-z'
'-x+1/2,y,z'
'-y,-x,-z'
'y,x,z'
'-x,y+1/2,-z'
'x,-y+1/2,z'
'y+1/2,x+1/2,-z'
'-y+1/2,-x+1/2,z'
loop_
_atom_site_label
_atom_site_fract_x
_atom_site_fract_y
_atom_site_fract_z
Th1 0.250 0.250 0.223
Sb1 0.250 0.250 0.865
Sb2 0.250 0.750 0.500
```

***

Entry 8:
# LaMnCuGe2
Calculated X-ray powder pattern, Cu Kα (λ = 1.5418 Å). Input: the GGA-PBE geometry in the Materials Project.
Peak positions follow from Bragg's law for the DFT cell and can differ from measured ones.

The 10 most intense peaks (10° ≤ 2θ ≤ 90°), by angle:
(1 1 0), 2θ 29.95, I = 27
(1 0 3), 2θ 33.03, I = 91
(1 1 2), 2θ 34.49, I = 100
(2 0 0), 2θ 42.88, I = 65
(1 0 5), 2θ 47.95, I = 35
(2 1 3), 2θ 55.17, I = 42
(2 2 0), 2θ 62.25, I = 21
(2 1 5), 2θ 66.26, I = 26
(3 1 2), 2θ 73.15, I = 21
(2 0 8), 2θ 86.65, I = 16

Cell and atoms:
```
data_LaMnCuGe2
_chemical_formula_sum 'La2 Mn2 Cu2 Ge4'
_symmetry_space_group_name_H-M 'I -4 m 2'
_symmetry_Int_Tables_number 119
_symmetry_space_group_name_Hall 'I -4 -2'
_cell_length_a 4.219
_cell_length_b 4.219
_cell_length_c 10.620
_cell_angle_alpha 90.00
_cell_angle_beta 90.00
_cell_angle_gamma 90.00
loop_
_atom_site_label
_atom_site_fract_x
_atom_site_fract_y
_atom_site_fract_z
La1 0.000 0.000 0.000
Mn1 0.000 0.500 0.750
Cu1 0.000 0.500 0.250
Ge1 0.000 0.000 0.377
```